1.
Computed PXRD pattern of Nd6ThCd for Cu Kα X-rays, from a crystal structure in Alexandria, relaxed with GGA-PBE.
No peak broadening, texture or thermal motion is included.

Main lines, in order of falling intensity (10 to 90 degrees two-theta):
Position (°2θ), d [Å], I (rel.)
30.42, 2.938, 100.0
30.61, 2.921, 96.6
35.32, 2.541, 66.0
50.94, 1.793, 46.7
60.61, 1.528, 40.3
35.50, 2.529, 33.2
60.28, 1.535, 28.2
83.18, 1.161, 15.7
85.83, 1.132, 15.2
60.73, 1.525, 13.7

Structure:
```
data_Nd6ThCd
_cell_length_a 8.7624
_cell_length_b 8.0143
_cell_length_c 6.2141
_cell_angle_alpha 74.83
_cell_angle_beta 61.98
_cell_angle_gamma 43.19
_space_group_name_H-M_alt 'P 1'
_space_group_IT_number 1
_space_group_name_Hall 'P 1'
loop_
_atom_site_label
_atom_site_fract_x
_atom_site_fract_y
_atom_site_fract_z
_atom_site_occupancy
Nd1 0.1180 0.1180 0.3820 1
Nd2 0.2453 0.2453 0.7547 1
Nd3 0.3820 0.3820 0.1180 1
Nd4 0.6180 0.6180 0.8820 1
Nd5 0.7547 0.7547 0.2453 1
Nd6 0.8820 0.8820 0.6180 1
Th1 0.5000 0.5000 0.5000 1
Cd1 0.0000 0.0000 0.0000 1
```

2.
Computed PXRD pattern of LaCe2SmTl4 for Cu Kα X-rays, from a crystal structure in Alexandria, relaxed with GGA-PBE.
No peak broadening, texture or thermal motion is included.

Main lines, in order of falling intensity (10 to 90 degrees two-theta):
Position (°2θ), d [Å], I (rel.)
32.33, 2.769, 100.0
57.66, 1.599, 38.9
46.37, 1.958, 18.5
77.00, 1.238, 16.7
67.67, 1.385, 12.0
85.99, 1.131, 4.3
22.71, 3.916, 3.3
52.23, 1.751, 1.6
39.87, 2.261, 1.1
72.39, 1.305, 0.8

Structure:
```
data_LaCe2SmTl4
_cell_length_a 9.5985
_cell_length_b 9.5985
_cell_length_c 9.5985
_cell_angle_alpha 33.53
_cell_angle_beta 33.53
_cell_angle_gamma 33.53
_space_group_name_H-M_alt 'P 1'
_space_group_IT_number 1
_space_group_name_Hall 'P 1'
loop_
_atom_site_label
_atom_site_fract_x
_atom_site_fract_y
_atom_site_fract_z
_atom_site_occupancy
La1 0.0000 0.0000 0.0000 1
Ce1 0.2497 0.2497 0.2497 1
Ce2 0.7503 0.7503 0.7503 1
Sm1 0.5000 0.5000 0.5000 1
Tl1 0.1263 0.1263 0.1263 1
Tl2 0.3765 0.3765 0.3765 1
Tl3 0.6235 0.6235 0.6235 1
Tl4 0.8737 0.8737 0.8737 1
```

3.
Computed PXRD pattern of Pr2YHo7 for Cu Kα X-rays, from a crystal structure in Alexandria, relaxed with GGA-PBE.
No peak broadening, texture or thermal motion is included.

Main lines, in order of falling intensity (10 to 90 degrees two-theta):
Position (°2θ), d [Å], I (rel.)
30.70, 2.913, 100.0
35.56, 2.525, 33.8
51.19, 1.784, 24.0
60.92, 1.521, 17.8
35.66, 2.518, 16.9
60.81, 1.523, 14.3
51.27, 1.782, 12.0
61.00, 1.519, 10.6
63.94, 1.456, 9.2
83.60, 1.157, 8.8

Structure:
```
data_Pr2YHo7
_cell_length_a 6.1775
_cell_length_b 7.1258
_cell_length_c 7.9874
_cell_angle_alpha 77.10
_cell_angle_beta 74.92
_cell_angle_gamma 73.33
_space_group_name_H-M_alt 'P 1'
_space_group_IT_number 1
_space_group_name_Hall 'P 1'
loop_
_atom_site_label
_atom_site_fract_x
_atom_site_fract_y
_atom_site_fract_z
_atom_site_occupancy
Pr1 0.2022 0.2990 0.1004 1
Pr2 0.7978 0.7010 0.8996 1
Y1 0.0000 0.0000 0.5000 1
Ho1 0.0000 0.5000 0.5000 1
Ho2 0.1994 0.7999 0.1007 1
Ho3 0.3988 0.1014 0.6975 1
Ho4 0.4010 0.6002 0.6975 1
Ho5 0.5990 0.3998 0.3025 1
Ho6 0.6012 0.8986 0.3025 1
Ho7 0.8006 0.2001 0.8993 1
```

4.
Computed PXRD pattern of Na8Cd5Hg for Cu Kα X-rays, from a crystal structure in Alexandria, relaxed with GGA-PBE.
No peak broadening, texture or thermal motion is included.

Main lines, in order of falling intensity (10 to 90 degrees two-theta):
Position (°2θ), d [Å], I (rel.)
22.48, 3.954, 100.0
33.51, 2.674, 90.5
36.03, 2.493, 89.7
17.27, 5.134, 78.1
35.72, 2.514, 60.2
37.93, 2.372, 57.0
14.29, 6.200, 56.4
33.78, 2.654, 38.6
28.49, 3.133, 38.0
12.19, 7.261, 31.0

Structure:
```
data_Na8Cd5Hg
_cell_length_a 8.2368
_cell_length_b 8.2368
_cell_length_c 8.2368
_cell_angle_alpha 102.88
_cell_angle_beta 102.88
_cell_angle_gamma 123.66
_space_group_name_H-M_alt 'P 1'
_space_group_IT_number 1
_space_group_name_Hall 'P 1'
loop_
_atom_site_label
_atom_site_fract_x
_atom_site_fract_y
_atom_site_fract_z
_atom_site_occupancy
Na1 0.0010 0.1735 0.8275 1
Na2 0.2767 0.3812 0.5784 1
Na3 0.3016 0.7233 0.1045 1
Na4 0.3459 0.1735 0.1725 1
Na5 0.6188 0.1971 0.8955 1
Na6 0.8029 0.6984 0.4216 1
Na7 0.8265 0.6541 0.8275 1
Na8 0.8265 0.9990 0.1725 1
Cd1 0.0106 0.4781 0.2876 1
Cd2 0.1905 0.7230 0.7124 1
Cd3 0.2770 0.9894 0.4675 1
Cd4 0.5219 0.8095 0.5325 1
Cd5 0.7500 0.2500 0.5000 1
Hg1 0.5000 0.5000 0.0000 1
```

5.
Computed PXRD pattern of CsTlZn2Sb2 for Cu Kα X-rays, from a crystal structure in Alexandria, relaxed with GGA-PBE.
No peak broadening, texture or thermal motion is included.

Main lines, in order of falling intensity (10 to 90 degrees two-theta):
Position (°2θ), d [Å], I (rel.)
27.60, 3.231, 100.0
39.23, 2.297, 38.3
51.70, 1.768, 26.5
48.64, 1.872, 21.1
64.19, 1.451, 18.3
32.31, 2.771, 16.7
54.80, 1.675, 10.6
33.09, 2.707, 8.3
80.27, 1.196, 7.3
82.77, 1.166, 6.6

Structure:
```
data_CsTlZn2Sb2
_cell_length_a 4.5932
_cell_length_b 4.5932
_cell_length_c 11.0826
_cell_angle_alpha 90.00
_cell_angle_beta 90.00
_cell_angle_gamma 120.00
_space_group_name_H-M_alt 'P 1'
_space_group_IT_number 1
_space_group_name_Hall 'P 1'
loop_
_atom_site_label
_atom_site_fract_x
_atom_site_fract_y
_atom_site_fract_z
_atom_site_occupancy
Cs1 0.0000 0.0000 0.0000 1
Tl1 0.0000 0.0000 0.5000 1
Zn1 0.3333 0.6667 0.7158 1
Zn2 0.6667 0.3333 0.2842 1
Sb1 0.3333 0.6667 0.2723 1
Sb2 0.6667 0.3333 0.7277 1
```

6.
Computed PXRD pattern of KTl3Cr for Cu Kα X-rays, from a crystal structure in Alexandria, relaxed with GGA-PBE.
No peak broadening, texture or thermal motion is included.

Main lines, in order of falling intensity (10 to 90 degrees two-theta):
Position (°2θ), d [Å], I (rel.)
28.87, 3.093, 100.0
33.46, 2.678, 72.1
48.04, 1.894, 52.4
57.02, 1.615, 46.0
16.55, 5.357, 37.1
80.13, 1.198, 23.5
37.55, 2.396, 20.0
77.71, 1.229, 18.9
89.67, 1.093, 18.5
59.81, 1.546, 18.1

Structure:
```
data_KTl3Cr
_cell_length_a 5.3565
_cell_length_b 5.3565
_cell_length_c 5.3565
_cell_angle_alpha 90.00
_cell_angle_beta 90.00
_cell_angle_gamma 90.00
_space_group_name_H-M_alt 'P 1'
_space_group_IT_number 1
_space_group_name_Hall 'P 1'
loop_
_atom_site_label
_atom_site_fract_x
_atom_site_fract_y
_atom_site_fract_z
_atom_site_occupancy
K1 0.0000 0.0000 0.0000 1
Tl1 0.0000 0.5000 0.5000 1
Tl2 0.5000 0.0000 0.5000 1
Tl3 0.5000 0.5000 0.0000 1
Cr1 0.5000 0.5000 0.5000 1
```

7.
Computed PXRD pattern of Dy3TlHS for Cu Kα X-rays, from a crystal structure in Alexandria, relaxed with GGA-PBE.
No peak broadening, texture or thermal motion is included.

Main lines, in order of falling intensity (10 to 90 degrees two-theta):
Position (°2θ), d [Å], I (rel.)
31.93, 2.803, 100.0
31.69, 2.823, 68.4
28.07, 3.179, 42.4
30.91, 2.893, 41.5
59.42, 1.555, 35.4
31.39, 2.850, 34.1
45.76, 1.983, 32.7
33.38, 2.685, 32.3
40.86, 2.208, 27.2
34.36, 2.610, 26.0

Structure:
```
data_Dy3TlHS
_cell_length_a 8.2260
_cell_length_b 3.9662
_cell_length_c 8.6391
_cell_angle_alpha 90.00
_cell_angle_beta 101.73
_cell_angle_gamma 90.00
_space_group_name_H-M_alt 'P 1'
_space_group_IT_number 1
_space_group_name_Hall 'P 1'
loop_
_atom_site_label
_atom_site_fract_x
_atom_site_fract_y
_atom_site_fract_z
_atom_site_occupancy
Dy1 0.0647 0.2500 0.3256 1
Dy2 0.3179 0.2500 0.9600 1
Dy3 0.3811 0.7500 0.6262 1
Dy4 0.6189 0.2500 0.3738 1
Dy5 0.6821 0.7500 0.0400 1
Dy6 0.9353 0.7500 0.6744 1
Tl1 0.3261 0.7500 0.2465 1
Tl2 0.6739 0.2500 0.7535 1
H1 0.4174 0.7500 0.8983 1
H2 0.5826 0.2500 0.1017 1
S1 0.1565 0.2500 0.6479 1
S2 0.8435 0.7500 0.3521 1
```

8.
Computed PXRD pattern of Mg2Fe12P7 for Cu Kα X-rays, from a crystal structure in Alexandria, relaxed with GGA-PBE.
No peak broadening, texture or thermal motion is included.

Main lines, in order of falling intensity (10 to 90 degrees two-theta):
Position (°2θ), d [Å], I (rel.)
40.01, 2.254, 100.0
49.85, 1.829, 36.4
51.01, 1.790, 24.9
11.53, 7.672, 20.8
54.83, 1.674, 18.6
20.04, 4.430, 18.3
51.95, 1.760, 16.3
43.48, 2.081, 15.4
78.16, 1.223, 12.4
47.40, 1.918, 11.8

Structure:
```
data_Mg2Fe12P7
_cell_length_a 8.8594
_cell_length_b 8.8594
_cell_length_c 3.5806
_cell_angle_alpha 90.00
_cell_angle_beta 90.00
_cell_angle_gamma 120.00
_space_group_name_H-M_alt 'P 1'
_space_group_IT_number 1
_space_group_name_Hall 'P 1'
loop_
_atom_site_label
_atom_site_fract_x
_atom_site_fract_y
_atom_site_fract_z
_atom_site_occupancy
Mg1 0.0000 0.0000 0.0000 1
Mg2 0.3333 0.6667 0.5000 1
Fe1 0.0536 0.7693 0.5000 1
Fe2 0.0961 0.3901 0.0000 1
Fe3 0.2307 0.2843 0.5000 1
Fe4 0.2940 0.9039 0.0000 1
Fe5 0.3906 0.2149 0.0000 1
Fe6 0.5474 0.1211 0.5000 1
Fe7 0.5737 0.4526 0.5000 1
Fe8 0.6099 0.7060 0.0000 1
Fe9 0.7157 0.9464 0.5000 1
Fe10 0.7851 0.1757 0.0000 1
Fe11 0.8243 0.6094 0.0000 1
Fe12 0.8789 0.4263 0.5000 1
P1 0.0806 0.6283 0.0000 1
P2 0.2627 0.0458 0.5000 1
P3 0.3717 0.4523 0.0000 1
P4 0.5477 0.9194 0.0000 1
P5 0.6667 0.3333 0.0000 1
P6 0.7830 0.7373 0.5000 1
P7 0.9542 0.2170 0.5000 1
```